Starting from the PBE geometry in Alexandria, the powder X-ray diffraction pattern of Hf9NiMo4 was computed for Cu Kα (λ = 1.5418 Å).
Neutral-atom scattering factors, no anomalous dispersion.

Peak list (8 most intense, 2θ from 15° to 90°, low angle first)
2θ/deg, I_rel, hkl
31.83, 38, 2 0 2
33.89, 34, 1 0 3
37.44, 74, 3 0 1
38.14, 100, 2 1 2
39.92, 50, 2 0 3
63.18, 36, 3 2 3
65.95, 26, 5 0 2
66.60, 31, 3 0 5

Cell and atoms:
```
data_Hf9NiMo4
_chemical_formula_sum 'Hf18 Ni2 Mo8'
_symmetry_space_group_name_H-M 'P 63/m m c'
_symmetry_Int_Tables_number 194
_symmetry_space_group_name_Hall '-P 6c 2c'
_cell_length_a 8.6761
_cell_length_b 8.6761
_cell_length_c 8.4788
_cell_angle_alpha 90.00
_cell_angle_beta 90.00
_cell_angle_gamma 120.00
loop_
_atom_site_label
_atom_site_type_symbol
_atom_site_fract_x
_atom_site_fract_y
_atom_site_fract_z
Hf1 Hf 0.0852 0.5426 0.2500
Hf2 Hf 0.2001 0.4003 0.5569
Ni1 Ni 0.3333 0.6667 0.7500
Mo1 Mo 0.0000 0.0000 0.0000
Mo2 Mo 0.1120 0.2241 0.2500
```